Record 1
Starting from a structure optimized by DFT (GGA+U), the PXRD pattern of SrZnCrP2O8 was calculated for copper Kα.
Lines closer than 0.1° are merged.

Cell and atoms:
a = 6.027 Å, b = 8.379 Å, c = 8.392 Å
α = 100.83°, β = 97.86°, γ = 95.03°
Space group P-1 (No. 2)
Asymmetric unit:
Sr  0.121  0.405  0.201
Zn  0.220  0.029  0.008
Cr  0.076  0.931  0.307
P  0.235  0.279  0.605
P  0.429  0.729  0.099
O  0.001  0.103  0.167
O  0.025  0.324  0.684
O  0.212  0.089  0.572
O  0.235  0.602  0.013
O  0.280  0.362  0.468
O  0.350  0.897  0.173
O  0.391  0.239  0.009
O  0.462  0.344  0.747

Main lines, in order of rising 2θ (15 to 90 degrees two-theta):
index, Position (°2θ), intensity
1 -1 0, 17.4, 42
1 0 1, 19.9, 37
-1 1 1, 20.5, 40
0 1 -2, 22.3, 49
1 2 0, 27.9, 50
-1 2 1, 28.2, 100
1 0 2, 28.5, 49
-3 1 2, 49.1, 37



Record 2
Starting from a structure optimized by DFT (GGA+U), the PXRD pattern of Fe3Pb4BrO8 was calculated for copper Kα.
Lines closer than 0.1° are merged.

Cell and atoms:
a = 3.979 Å, b = 3.979 Å, c = 15.907 Å
α = 90.00°, β = 90.00°, γ = 90.00°
Space group P4/mmm (No. 123)
Asymmetric unit:
Fe  0.000  0.000  0.000
Fe  0.000  0.000  0.251
Pb  0.500  0.500  0.113
Pb  0.500  0.500  0.372
Br  0.000  0.000  0.500
O  0.000  0.000  0.132
O  0.000  0.500  0.000
O  0.000  0.500  0.283

Main lines, in order of rising 2θ (15 to 90 degrees two-theta):
index, Position (°2θ), intensity
1 0 0, 22.3, 29
1 0 4, 31.8, 100
1 1 4, 39.2, 16
2 0 0, 45.6, 24
2 1 0, 51.4, 13
2 1 4, 56.7, 39
2 2 0, 66.5, 14
3 0 4, 75.6, 16



- Which formula does entry 2 have?
  Fe3Pb4BrO8